(1)
The following is a calculated powder diffraction line list of Mn3Ge7. It was derived from DFT lattice parameters and positions (PBE), using Cu Ka.
No peak broadening, texture or thermal motion is included.

Top 6 peaks for 2θ from 10° to 80°, by angle:
d = 2.703 Å, rel. 47; d = 2.468 Å, rel. 40; d = 2.285 Å, rel. 49; d = 2.015 Å, rel. 100; d = 1.745 Å, rel. 17; d = 1.425 Å, rel. 17

Structure:
```
data_Mn3Ge7
_chemical_formula_sum 'Mn12 Ge28'
_space_group_name_H-M_alt 'I m -3 m'
_space_group_IT_number 229
_space_group_name_Hall '-I 4 2 3'
_cell_length_a 8.549
_cell_length_b 8.549
_cell_length_c 8.549
_cell_angle_alpha 90.00
_cell_angle_beta 90.00
_cell_angle_gamma 90.00
loop_
_atom_site_label
_atom_site_type_symbol
_atom_site_fract_x
_atom_site_fract_y
_atom_site_fract_z
_atom_site_occupancy
Mn1 Mn 0.000 0.000 0.354 1
Ge1 Ge 0.000 0.250 0.500 1
Ge2 Ge 0.161 0.161 0.161 1
```

---

(2)
The following is a calculated powder diffraction line list of PaMnGe3Mo. It was derived from DFT lattice parameters and positions (PBE), using Cu Ka.
No peak broadening, texture or thermal motion is included.

Top 6 peaks for 2θ from 10° to 80°, by angle:
d = 4.199 Å, rel. 43; d = 3.976 Å, rel. 53; d = 3.120 Å, rel. 59; d = 2.715 Å, rel. 40; d = 2.310 Å, rel. 100; d = 1.990 Å, rel. 82

Structure:
```
data_PaMnGe3Mo
_chemical_formula_sum 'Pa4 Mn4 Ge12 Mo4'
_space_group_name_H-M_alt 'C m c m'
_space_group_IT_number 63
_space_group_name_Hall '-C 2c 2'
_cell_length_a 7.953
_cell_length_b 10.064
_cell_length_c 5.678
_cell_angle_alpha 90.00
_cell_angle_beta 90.00
_cell_angle_gamma 90.00
loop_
_atom_site_label
_atom_site_type_symbol
_atom_site_fract_x
_atom_site_fract_y
_atom_site_fract_z
_atom_site_occupancy
Pa1 Pa 0.000 0.220 0.250 1
Mn1 Mn 0.000 0.438 0.250 1
Ge1 Ge 0.000 0.320 0.750 1
Ge2 Ge 0.245 0.500 0.000 1
Mo1 Mo 0.000 0.074 0.750 1
```

---

(3)
The following is a calculated powder diffraction line list of PmMnGe2Mo. It was derived from DFT lattice parameters and positions (PBE), using Cu Ka.
No peak broadening, texture or thermal motion is included.

Top 6 peaks for 2θ from 10° to 80°, by angle:
d = 2.774 Å, rel. 66; d = 2.553 Å, rel. 100; d = 2.016 Å, rel. 49; d = 1.993 Å, rel. 38; d = 1.631 Å, rel. 27; d = 1.417 Å, rel. 25

Structure:
```
data_PmMnGe2Mo
_chemical_formula_sum 'Pm2 Mn2 Ge4 Mo2'
_space_group_name_H-M_alt 'I -4 m 2'
_space_group_IT_number 119
_space_group_name_Hall 'I -4 -2'
_cell_length_a 4.033
_cell_length_b 4.033
_cell_length_c 11.462
_cell_angle_alpha 90.00
_cell_angle_beta 90.00
_cell_angle_gamma 90.00
loop_
_atom_site_label
_atom_site_type_symbol
_atom_site_fract_x
_atom_site_fract_y
_atom_site_fract_z
_atom_site_occupancy
Pm1 Pm 0.000 0.000 0.000 1
Mn1 Mn 0.000 0.500 0.250 1
Ge1 Ge 0.000 0.000 0.386 1
Mo1 Mo 0.000 0.500 0.750 1
```

---

(4)
The following is a calculated powder diffraction line list of Mn3GeN. It was derived from DFT lattice parameters and positions (PBE), using Cu Ka.
No peak broadening, texture or thermal motion is included.

Top 6 peaks for 2θ from 10° to 80°, by angle:
d = 2.270 Å, rel. 28; d = 2.213 Å, rel. 100; d = 2.020 Å, rel. 31; d = 1.870 Å, rel. 30; d = 1.777 Å, rel. 13; d = 1.372 Å, rel. 20

Structure:
```
data_Mn3GeN
_chemical_formula_sum 'Mn12 Ge4 N4'
_space_group_name_H-M_alt 'I 4/m c m'
_space_group_IT_number 140
_space_group_name_Hall '-I 4 2c'
_cell_length_a 5.289
_cell_length_b 5.289
_cell_length_c 8.080
_cell_angle_alpha 90.00
_cell_angle_beta 90.00
_cell_angle_gamma 90.00
loop_
_atom_site_label
_atom_site_type_symbol
_atom_site_fract_x
_atom_site_fract_y
_atom_site_fract_z
_atom_site_occupancy
Mn1 Mn 0.000 0.000 0.250 1
Mn2 Mn 0.190 0.310 0.000 1
Ge1 Ge 0.000 0.500 0.250 1
N1 N 0.000 0.000 0.000 1
```